Theoretical X-ray powder pattern of MnClF5 for copper Kα, from a DFT-relaxed cell (GGA+U, Alexandria).

Largest 10 diffraction maxima, by angle, 2θ = 10–80°:
2theta, d (Å), I_rel, index
15.67, 5.657, 58, 0 1 0
16.83, 5.267, 27, 1 0 0
20.85, 4.261, 100, 1 -1 0
25.11, 3.546, 66, 1 1 0
26.18, 3.404, 71, 1 0 -2
26.31, 3.388, 63, 0 1 -2
34.04, 2.633, 28, 2 0 0
37.95, 2.371, 20, 2 1 -2
38.40, 2.344, 20, 0 1 -3
48.21, 1.888, 25, 1 -3 0

Structure:
```
MnClF5
1.0
5.6270 0.0000 0.0000
-0.4959 5.9607 0.0000
-2.2711 -2.2251 6.6971
Mn Cl F
2 2 10
Cartesian
0.0000 0.0000 0.0000
-1.1356 -1.1125 3.3485
2.0064 2.5305 1.2477
0.8535 1.2051 5.4494
-1.9393 2.2406 6.1831
-0.5410 5.3057 1.7651
-0.7184 3.3056 3.4431
1.6917 0.7891 0.3725
0.5422 -0.3059 4.6669
2.3178 4.0415 2.0302
1.1683 2.9465 6.3246
3.5783 0.4300 3.2540
3.4009 -1.5701 4.9320
4.7992 1.4951 0.5140
```

***

Theoretical X-ray powder pattern of Li7Mn5O12 for copper Kα, from a DFT-relaxed cell (GGA+U, Alexandria).

Largest 10 diffraction maxima, by angle, 2θ = 10–80°:
2theta, d (Å), I_rel, index
18.42, 4.816, 100, 1 1 1
34.64, 2.590, 13, -1 1 1
36.31, 2.474, 25, 1 1 -2
41.71, 2.166, 30, 0 2 2
44.29, 2.045, 53, 2 0 3
47.28, 1.922, 7, 1 1 4
62.36, 1.489, 15, 2 -2 1
62.56, 1.485, 14, 2 4 1
64.13, 1.452, 7, 4 2 2
64.72, 1.440, 10, 0 2 -4

Structure:
```
Li7Mn5O12
1.0
5.8084 0.0000 0.0000
2.8880 5.2042 0.0000
2.8834 0.4125 7.1923
Li Mn O
7 5 12
Cartesian
0.0000 0.0000 0.0000
2.8903 2.0104 4.8029
4.3677 1.1579 2.5680
5.7910 2.0132 4.7932
7.2241 2.9199 7.1040
7.2488 4.5154 4.7209
8.7015 3.6594 2.4190
4.3425 2.9850 7.1769
5.7863 0.4440 7.1788
5.7947 3.6178 2.4289
7.2460 1.0761 2.4432
10.1359 4.6405 4.7889
2.8013 0.2696 3.6960
5.6471 3.8331 6.0198
2.8077 1.9030 1.1852
4.4041 1.3579 6.1773
4.4098 3.0337 3.6489
4.4716 4.6015 1.3193
7.1276 4.2575 1.0832
7.1734 2.7443 3.4537
7.1636 1.0143 5.9504
5.8908 1.8158 1.1495
8.7964 5.3988 3.6251
8.8072 3.7551 5.9509
```